No. 1
Diffraction record for NaUPO6. The XRD peak list is theoretical, not measured: it uses the PBE geometry in Alexandria and Cu Kα.
Intensities are scaled so that the largest is 100.

Principal peaks in the range 10 to 80 degrees two-theta, in order of falling intensity:
Position (°2θ)  I/Imax
26.4  100.0
19.8  68.7
17.3  65.9
38.9  37.3
50.0  33.7
34.6  28.1
40.5  27.3
44.0  26.6
57.1  26.4
40.1  14.1

Structure:
a = 5.1885 Å, b = 5.1885 Å, c = 5.1289 Å
α = 90.00°, β = 90.00°, γ = 120.00°
Positions (direct):
Na 0.0000 0.0000 0.0000
U 0.3333 0.6667 0.5000
P 0.6667 0.3333 0.5000
O 0.3985 0.0530 0.6927
O 0.3985 0.3455 0.3073
O 0.6545 0.0530 0.3073
O 0.6545 0.6015 0.6927
O 0.9470 0.3455 0.6927
O 0.9470 0.6015 0.3073

***

No. 2
Diffraction record for Ta4Nb2V. The XRD peak list is theoretical, not measured: it uses the PBE geometry in Alexandria and Cu Kα.
Intensities are scaled so that the largest is 100.

Principal peaks in the range 10 to 80 degrees two-theta, in order of falling intensity:
Position (°2θ)  I/Imax
38.4  100.0
38.1  43.6
37.3  37.3
14.2  21.9
39.1  16.3
36.8  15.7
37.7  15.5
69.1  14.7
41.8  13.8
41.1  13.4

Structure:
a = 2.8109 Å, b = 7.2098 Å, c = 7.2741 Å
α = 60.30°, β = 79.11°, γ = 88.73°
Positions (direct):
Ta 0.0908 0.2777 0.1457
Ta 0.3588 0.1468 0.5749
Ta 0.6412 0.8532 0.4251
Ta 0.9092 0.7223 0.8543
Nb 0.2593 0.5847 0.2748
Nb 0.7407 0.4153 0.7252
V 0.5000 0.0000 0.0000

***

No. 3
Diffraction record for Ac12NdSm5. The XRD peak list is theoretical, not measured: it uses the PBE geometry in Alexandria and Cu Kα.
Intensities are scaled so that the largest is 100.

Principal peaks in the range 10 to 80 degrees two-theta, in order of falling intensity:
Position (°2θ)  I/Imax
28.1  100.0
28.2  99.0
32.5  68.8
46.9  50.6
32.9  33.6
55.3  31.3
55.5  30.9
55.8  30.5
77.7  17.5
58.1  13.7

Structure:
a = 11.6253 Å, b = 11.6253 Å, c = 6.7014 Å
α = 106.21°, β = 106.21°, γ = 60.13°
Positions (direct):
Ac 0.0024 0.3312 0.4999
Ac 0.1645 0.8355 0.0000
Ac 0.1690 0.4974 0.0001
Ac 0.3312 0.0024 0.4999
Ac 0.3361 0.6639 0.5000
Ac 0.4974 0.1690 0.0001
Ac 0.5026 0.8310 0.9999
Ac 0.6639 0.3361 0.5000
Ac 0.6688 0.9976 0.5001
Ac 0.8310 0.5026 0.9999
Ac 0.8355 0.1645 0.0000
Ac 0.9976 0.6688 0.5001
Nd 0.0000 0.0000 0.5000
Sm 0.1667 0.1667 0.0006
Sm 0.3333 0.3333 0.5001
Sm 0.5000 0.5000 0.0000
Sm 0.6667 0.6667 0.4999
Sm 0.8333 0.8333 0.9994

***

No. 4
Diffraction record for CePmNiS4. The XRD peak list is theoretical, not measured: it uses the PBE geometry in Alexandria and Cu Kα.
Intensities are scaled so that the largest is 100.

Principal peaks in the range 10 to 80 degrees two-theta, in order of falling intensity:
Position (°2θ)  I/Imax
21.1  100.0
28.4  92.4
34.8  77.5
45.9  72.8
31.6  71.2
43.0  64.7
35.2  61.4
31.3  49.5
28.5  46.6
30.9  44.9

Structure:
a = 6.5803 Å, b = 5.6558 Å, c = 7.9011 Å
α = 90.00°, β = 106.69°, γ = 90.00°
Positions (direct):
Ce 0.2446 0.2500 0.4380
Ce 0.7554 0.7500 0.5620
Pm 0.2304 0.2500 0.9310
Pm 0.7696 0.7500 0.0690
Ni 0.2593 0.7500 0.6801
Ni 0.7407 0.2500 0.3199
S 0.0715 0.7500 0.8798
S 0.0792 0.7500 0.3993
S 0.4864 0.5096 0.2440
S 0.4864 0.9904 0.2440
S 0.5136 0.0096 0.7560
S 0.5136 0.4904 0.7560
S 0.9208 0.2500 0.6007
S 0.9285 0.2500 0.1202

***

No. 5
Diffraction record for TbNd2Cl8. The XRD peak list is theoretical, not measured: it uses the PBE geometry in Alexandria and Cu Kα.
Intensities are scaled so that the largest is 100.

Principal peaks in the range 10 to 80 degrees two-theta, in order of falling intensity:
Position (°2θ)  I/Imax
21.7  100.0
18.1  73.5
39.9  63.5
24.1  60.6
22.4  57.2
33.5  54.4
40.4  48.8
33.0  41.7
23.6  41.4
33.7  38.0

Structure:
a = 7.5100 Å, b = 7.5100 Å, c = 5.7112 Å
α = 99.93°, β = 99.93°, γ = 112.36°
Positions (direct):
Tb 0.0000 0.0000 0.0000
Nd 0.3105 0.6895 0.5000
Nd 0.6895 0.3105 0.5000
Cl 0.0751 0.3340 0.5980
Cl 0.2171 0.7829 0.0000
Cl 0.3340 0.0751 0.5980
Cl 0.3522 0.3522 0.1808
Cl 0.6478 0.6478 0.8192
Cl 0.6660 0.9249 0.4020
Cl 0.7829 0.2171 0.0000
Cl 0.9249 0.6660 0.4020

***

No. 6
Diffraction record for CsCdF3. The XRD peak list is theoretical, not measured: it uses the PBE geometry in Alexandria and Cu Kα.
Intensities are scaled so that the largest is 100.

Principal peaks in the range 10 to 80 degrees two-theta, in order of falling intensity:
Position (°2θ)  I/Imax
26.4  100.0
29.7  88.6
39.8  58.8
25.6  51.6
29.9  39.4
51.2  32.8
54.9  25.9
47.3  19.3
53.0  18.5
40.5  18.2

Structure:
a = 3.8465 Å, b = 5.9747 Å, c = 8.1971 Å
α = 90.00°, β = 90.00°, γ = 90.00°
Positions (direct):
Cs 0.2500 0.2500 0.1367
Cs 0.7500 0.7500 0.8633
Cd 0.2500 0.7500 0.4074
Cd 0.7500 0.2500 0.5926
F 0.2500 0.0051 0.6211
F 0.2500 0.4949 0.6211
F 0.2500 0.7500 0.1374
F 0.7500 0.2500 0.8626
F 0.7500 0.5051 0.3789
F 0.7500 0.9949 0.3789

***

No. 7
Diffraction record for SmB2N2. The XRD peak list is theoretical, not measured: it uses the PBE geometry in Alexandria and Cu Kα.
Intensities are scaled so that the largest is 100.

Principal peaks in the range 10 to 80 degrees two-theta, in order of falling intensity:
Position (°2θ)  I/Imax
21.7  100.0
39.0  59.4
38.1  55.9
50.6  34.1
69.4  22.4
55.7  21.5
32.0  21.0
44.3  16.9
59.8  14.5
79.7  11.7

Structure:
a = 4.7269 Å, b = 4.7269 Å, c = 2.7951 Å
α = 90.00°, β = 90.00°, γ = 120.00°
Positions (direct):
Sm 0.0000 0.0000 0.0000
B 0.3333 0.6667 0.5000
B 0.6667 0.3333 0.5000
N 0.3333 0.6667 0.0000
N 0.6667 0.3333 0.0000

***

No. 8
Diffraction record for BiSe3O12. The XRD peak list is theoretical, not measured: it uses the PBE geometry in Alexandria and Cu Kα.
Intensities are scaled so that the largest is 100.

Principal peaks in the range 10 to 80 degrees two-theta, in order of falling intensity:
Position (°2θ)  I/Imax
25.7  100.0
10.7  77.2
23.4  56.5
31.9  55.8
28.5  52.8
50.1  36.8
43.7  28.6
17.7  28.4
40.7  21.1
66.5  17.7

Structure:
a = 9.5868 Å, b = 9.5868 Å, c = 6.2608 Å
α = 90.00°, β = 90.00°, γ = 120.00°
Positions (direct):
Bi 0.3333 0.6667 0.2500
Bi 0.6667 0.3333 0.7500
Se 0.0907 0.3904 0.7500
Se 0.2997 0.9093 0.7500
Se 0.3904 0.2997 0.2500
Se 0.6096 0.7003 0.7500
Se 0.7003 0.0907 0.2500
Se 0.9093 0.6096 0.2500
O 0.0068 0.1913 0.7500
O 0.0400 0.5420 0.2500
O 0.1845 0.9932 0.7500
O 0.1913 0.1845 0.2500
O 0.2149 0.4609 0.5363
O 0.2149 0.4609 0.9637
O 0.2461 0.7851 0.5363
O 0.2461 0.7851 0.9637
O 0.4580 0.4980 0.2500
O 0.4609 0.2461 0.0363
O 0.4609 0.2461 0.4637
O 0.4980 0.0400 0.7500
O 0.5020 0.9600 0.2500
O 0.5391 0.7539 0.5363
O 0.5391 0.7539 0.9637
O 0.5420 0.5020 0.7500
O 0.7539 0.2149 0.0363
O 0.7539 0.2149 0.4637
O 0.7851 0.5391 0.0363
O 0.7851 0.5391 0.4637
O 0.8087 0.8155 0.7500
O 0.8155 0.0068 0.2500
O 0.9600 0.4580 0.7500
O 0.9932 0.8087 0.2500

***

No. 9
Diffraction record for TbIrOs. The XRD peak list is theoretical, not measured: it uses the PBE geometry in Alexandria and Cu Kα.
Intensities are scaled so that the largest is 100.

Principal peaks in the range 10 to 80 degrees two-theta, in order of falling intensity:
Position (°2θ)  I/Imax
40.4  100.0
36.0  79.6
39.5  73.7
39.3  41.7
40.7  35.3
66.2  25.1
71.1  21.9
44.2  21.1
64.0  18.3
45.2  18.3

Structure:
a = 8.9191 Å, b = 5.3024 Å, c = 5.3024 Å
α = 60.55°, β = 90.00°, γ = 90.00°
Positions (direct):
Tb 0.1811 0.0000 0.0000
Tb 0.3163 0.3329 0.3329
Tb 0.6837 0.3329 0.3329
Tb 0.8189 0.0000 0.0000
Ir 0.0000 0.0096 0.5011
Ir 0.0000 0.5011 0.0096
Ir 0.2490 0.6641 0.6641
Ir 0.7510 0.6641 0.6641
Os 0.0000 0.4977 0.4977
Os 0.5000 0.3269 0.8370
Os 0.5000 0.8370 0.3269
Os 0.5000 0.8415 0.8415

***

No. 10
Diffraction record for Li3Hg4Au2. The XRD peak list is theoretical, not measured: it uses the PBE geometry in Alexandria and Cu Kα.
Intensities are scaled so that the largest is 100.

Principal peaks in the range 10 to 80 degrees two-theta, in order of falling intensity:
Position (°2θ)  I/Imax
36.6  100.0
41.7  74.4
36.9  49.6
36.7  48.6
24.0  47.6
24.8  33.4
20.7  31.7
44.6  31.7
62.8  21.8
72.6  20.7

Structure:
a = 4.3325 Å, b = 5.0941 Å, c = 8.8942 Å
α = 76.29°, β = 89.51°, γ = 65.01°
Positions (direct):
Li 0.0000 0.0000 0.0000
Li 0.3291 0.3430 0.4360
Li 0.6709 0.6570 0.5640
Hg 0.0149 0.9673 0.3423
Hg 0.3403 0.3218 0.1111
Hg 0.6597 0.6782 0.8889
Hg 0.9851 0.0327 0.6577
Au 0.3212 0.3559 0.7620
Au 0.6788 0.6441 0.2380